Entry 1:
For Y3Pd2Au, DFT lattice parameters and positions (GGA-PBE) gives the computed powder diffractogram in this record (a wavelength of 1.5418 Å).

Peak list (8 most intense, 10° ≤ 2θ ≤ 80°, by angle)
2theta  I (rel.)
11.79  3.5
25.09  6.2
35.75  100.0
35.89  19.7
51.49  20.9
64.16  21.3
64.39  21.0
75.78  8.7

Cell and atoms:
Unit cell a=7.9174 b=7.9174 c=3.5517 alpha=90.00 beta=90.00 gamma=142.93
Fractional coordinates of all 6 atoms:
Y 0.0000 0.0000 0.0000
Y 0.3308 0.6692 0.0000
Y 0.6692 0.3308 0.0000
Pd 0.1669 0.8331 0.5000
Pd 0.8331 0.1669 0.5000
Au 0.5000 0.5000 0.5000

Entry 2:
For YP2PbO8, DFT lattice parameters and positions (GGA-PBE) gives the computed powder diffractogram in this record (a wavelength of 1.5418 Å).

Peak list (8 most intense, 10° ≤ 2θ ≤ 80°, by angle)
2theta  I (rel.)
11.96  21.0
18.89  100.0
22.42  34.3
30.76  87.0
33.03  51.2
41.28  45.1
45.75  40.0
57.58  27.4

Cell and atoms:
Unit cell a=5.4241 b=5.4241 c=7.4019 alpha=90.00 beta=90.00 gamma=120.00
Fractional coordinates of all 12 atoms:
Y 0.0000 0.0000 0.0000
P 0.3333 0.6667 0.2724
P 0.6667 0.3333 0.7276
Pb 0.0000 0.0000 0.5000
O 0.1762 0.3559 0.2026
O 0.1797 0.8238 0.2026
O 0.3333 0.6667 0.4815
O 0.3559 0.1797 0.7974
O 0.6441 0.8203 0.2026
O 0.6667 0.3333 0.5185
O 0.8203 0.1762 0.7974
O 0.8238 0.6441 0.7974

Entry 3:
For Cd2Rh6N, DFT lattice parameters and positions (GGA-PBE) gives the computed powder diffractogram in this record (a wavelength of 1.5418 Å).

Peak list (8 most intense, 10° ≤ 2θ ≤ 80°, by angle)
2theta  I (rel.)
38.67  100.0
44.88  34.4
45.09  16.9
49.25  0.5
65.35  10.8
65.51  21.3
78.59  23.9
78.89  11.8

Cell and atoms:
Unit cell a=5.6994 b=5.6994 c=5.6994 alpha=119.86 beta=119.86 gamma=90.25
Fractional coordinates of all 9 atoms:
Cd 0.2500 0.7500 0.5000
Cd 0.7500 0.2500 0.5000
Rh 0.2432 0.2432 0.0000
Rh 0.2446 0.2446 0.4892
Rh 0.2446 0.7554 0.0000
Rh 0.7554 0.2446 0.0000
Rh 0.7554 0.7554 0.5108
Rh 0.7568 0.7568 0.0000
N 0.5000 0.5000 0.0000

Entry 4:
For TbY6Er5, DFT lattice parameters and positions (GGA-PBE) gives the computed powder diffractogram in this record (a wavelength of 1.5418 Å).

Peak list (8 most intense, 10° ≤ 2θ ≤ 80°, by angle)
2theta  I (rel.)
15.31  10.2
29.57  6.8
30.91  100.0
35.85  50.4
51.60  35.4
61.37  41.8
64.42  12.0
75.97  5.6

Cell and atoms:
Unit cell a=6.1346 b=6.1346 c=11.7506 alpha=94.99 beta=94.99 gamma=119.95
Fractional coordinates of all 12 atoms:
Tb 0.0000 0.0000 0.0000
Y 0.0831 0.4166 0.2505
Y 0.2506 0.2506 0.7496
Y 0.4166 0.0831 0.2505
Y 0.5834 0.9169 0.7495
Y 0.7494 0.7494 0.2504
Y 0.9169 0.5834 0.7495
Er 0.1668 0.8332 0.5000
Er 0.3333 0.6667 0.0000
Er 0.5000 0.5000 0.5000
Er 0.6667 0.3333 0.0000
Er 0.8332 0.1668 0.5000

Entry 5:
For La7Si6, DFT lattice parameters and positions (GGA-PBE) gives the computed powder diffractogram in this record (a wavelength of 1.5418 Å).

Peak list (8 most intense, 10° ≤ 2θ ≤ 80°, by angle)
2theta  I (rel.)
14.42  75.1
22.24  42.7
28.34  76.7
29.08  52.1
33.15  60.7
33.85  100.0
38.66  55.0
49.71  50.3

Cell and atoms:
Unit cell a=9.0459 b=9.0459 c=9.0459 alpha=47.84 beta=47.84 gamma=47.84
Fractional coordinates of all 13 atoms:
La 0.0000 0.0000 0.0000
La 0.0929 0.0929 0.5706
La 0.0929 0.5706 0.0929
La 0.4294 0.9071 0.9071
La 0.5706 0.0929 0.0929
La 0.9071 0.4294 0.9071
La 0.9071 0.9071 0.4294
Si 0.1645 0.1645 0.1645
Si 0.3588 0.3588 0.3588
Si 0.4531 0.4531 0.4531
Si 0.5469 0.5469 0.5469
Si 0.6412 0.6412 0.6412
Si 0.8355 0.8355 0.8355

Entry 6:
For UTeS, DFT lattice parameters and positions (GGA-PBE) gives the computed powder diffractogram in this record (a wavelength of 1.5418 Å).

Peak list (8 most intense, 10° ≤ 2θ ≤ 80°, by angle)
2theta  I (rel.)
16.19  52.6
23.71  55.8
23.82  33.6
26.77  100.0
27.02  43.8
30.14  34.4
38.02  39.5
40.61  88.8

Cell and atoms:
Unit cell a=4.4435 b=4.4435 c=11.2794 alpha=102.04 beta=102.04 gamma=60.00
Fractional coordinates of all 6 atoms:
U 0.2251 0.2251 0.1647
U 0.7749 0.7749 0.8353
Te 0.3844 0.3844 0.6733
Te 0.6156 0.6156 0.3267
S 0.1349 0.1349 0.9109
S 0.8651 0.8651 0.0891

Entry 7:
For AgPb2S3, DFT lattice parameters and positions (GGA-PBE) gives the computed powder diffractogram in this record (a wavelength of 1.5418 Å).

Peak list (8 most intense, 10° ≤ 2θ ≤ 80°, by angle)
2theta  I (rel.)
26.73  67.2
27.07  65.6
30.89  52.1
31.30  100.0
44.55  74.9
52.79  22.5
53.36  22.2
55.08  20.0

Cell and atoms:
Unit cell a=6.9743 b=6.9743 c=6.9743 alpha=145.99 beta=130.96 gamma=61.02
Fractional coordinates of all 6 atoms:
Ag 0.0000 0.0000 0.0000
Pb 0.3310 0.3310 0.0000
Pb 0.6690 0.6690 0.0000
S 0.1545 0.6545 0.5000
S 0.5000 0.0000 0.5000
S 0.8455 0.3455 0.5000

Entry 8:
For Y6ThTe8, DFT lattice parameters and positions (GGA-PBE) gives the computed powder diffractogram in this record (a wavelength of 1.5418 Å).

Peak list (8 most intense, 10° ≤ 2θ ≤ 80°, by angle)
2theta  I (rel.)
23.98  12.0
29.03  100.0
31.69  10.2
41.51  74.2
51.45  26.0
60.16  12.0
68.16  32.3
75.73  23.5

Cell and atoms:
Unit cell a=8.7014 b=8.7014 c=8.7014 alpha=60.00 beta=60.00 gamma=60.00
Fractional coordinates of all 15 atoms:
Y 0.0000 0.0000 0.5000
Y 0.0000 0.5000 0.0000
Y 0.0000 0.5000 0.5000
Y 0.5000 0.0000 0.0000
Y 0.5000 0.0000 0.5000
Y 0.5000 0.5000 0.0000
Th 0.0000 0.0000 0.0000
Te 0.2500 0.2500 0.2500
Te 0.2618 0.2618 0.7382
Te 0.2618 0.7382 0.2618
Te 0.2618 0.7382 0.7382
Te 0.7382 0.2618 0.2618
Te 0.7382 0.2618 0.7382
Te 0.7382 0.7382 0.2618
Te 0.7500 0.7500 0.7500

Entry 9:
For Tb4Pa3N8, DFT lattice parameters and positions (GGA-PBE) gives the computed powder diffractogram in this record (a wavelength of 1.5418 Å).

Peak list (8 most intense, 10° ≤ 2θ ≤ 80°, by angle)
2theta  I (rel.)
15.64  12.0
31.55  100.0
35.98  24.7
36.44  23.9
37.35  22.2
52.14  16.9
53.17  15.9
62.54  15.4

Cell and atoms:
Unit cell a=6.8929 b=6.8929 c=6.9261 alpha=118.97 beta=118.97 gamma=91.36
Fractional coordinates of all 15 atoms:
Tb 0.0000 0.0000 0.0000
Tb 0.0000 0.0000 0.5000
Tb 0.0000 0.5000 0.0000
Tb 0.5000 0.0000 0.0000
Pa 0.0000 0.5000 0.5000
Pa 0.5000 0.0000 0.5000
Pa 0.5000 0.5000 0.0000
N 0.2397 0.7603 0.5000
N 0.2439 0.2439 0.5033
N 0.2497 0.7503 0.0000
N 0.2570 0.2570 0.9736
N 0.7430 0.7430 0.0264
N 0.7503 0.2497 0.0000
N 0.7561 0.7561 0.4967
N 0.7603 0.2397 0.5000

Entry 10:
For PmPrNd2Ho2, DFT lattice parameters and positions (GGA-PBE) gives the computed powder diffractogram in this record (a wavelength of 1.5418 Å).

Peak list (8 most intense, 10° ≤ 2θ ≤ 80°, by angle)
2theta  I (rel.)
31.02  88.0
31.13  100.0
40.44  12.8
44.52  32.6
55.33  47.5
61.57  28.6
73.67  14.6
79.16  13.9

Cell and atoms:
Unit cell a=7.0752 b=9.9486 c=5.7490 alpha=90.00 beta=90.00 gamma=90.00
Fractional coordinates of all 12 atoms:
Pm 0.0000 0.0000 0.0000
Pm 0.5000 0.5000 0.5000
Pr 0.0000 0.5000 0.5000
Pr 0.5000 0.0000 0.0000
Nd 0.2495 0.1672 0.5000
Nd 0.2505 0.6672 0.0000
Nd 0.7495 0.3328 0.0000
Nd 0.7505 0.8328 0.5000
Ho 0.2501 0.3338 0.0000
Ho 0.2499 0.8338 0.5000
Ho 0.7501 0.1662 0.5000
Ho 0.7499 0.6662 0.0000

Entry 11:
For Zn2CuAg, DFT lattice parameters and positions (GGA-PBE) gives the computed powder diffractogram in this record (a wavelength of 1.5418 Å).

Peak list (8 most intense, 10° ≤ 2θ ≤ 80°, by angle)
2theta  I (rel.)
25.13  6.3
40.46  100.0
43.87  39.3
51.23  1.7
53.01  10.9
63.78  12.0
71.18  17.0
78.30  25.8

Cell and atoms:
Unit cell a=4.5226 b=4.5226 c=4.5226 alpha=125.70 beta=125.70 gamma=80.38
Fractional coordinates of all 4 atoms:
Zn 0.2500 0.7500 0.5000
Zn 0.7500 0.2500 0.5000
Cu 0.0000 0.0000 0.0000
Ag 0.5000 0.5000 0.0000

Entry 12:
For CaSm4Tm3S8, DFT lattice parameters and positions (GGA-PBE) gives the computed powder diffractogram in this record (a wavelength of 1.5418 Å).

Peak list (8 most intense, 10° ≤ 2θ ≤ 80°, by angle)
2theta  I (rel.)
27.36  19.3
27.80  55.1
32.09  100.0
45.72  36.3
46.30  35.3
54.62  18.3
57.44  18.4
75.91  15.8

Cell and atoms:
Unit cell a=7.9384 b=7.9384 c=7.9384 alpha=59.22 beta=59.22 gamma=59.22
Fractional coordinates of all 16 atoms:
Ca 0.0000 0.0000 0.0000
Sm 0.0000 0.0000 0.5000
Sm 0.0000 0.5000 0.0000
Sm 0.5000 0.0000 0.0000
Sm 0.5000 0.5000 0.5000
Tm 0.0000 0.5000 0.5000
Tm 0.5000 0.0000 0.5000
Tm 0.5000 0.5000 0.0000
S 0.2474 0.2474 0.7416
S 0.2474 0.7416 0.2474
S 0.2555 0.2555 0.2555
S 0.2584 0.7526 0.7526
S 0.7416 0.2474 0.2474
S 0.7445 0.7445 0.7445
S 0.7526 0.2584 0.7526
S 0.7526 0.7526 0.2584